Starting from a DFT-relaxed cell (GGA+U, Alexandria), the X-ray diffraction stick pattern of Li2VF6 was calculated for Cu Kα (λ = 1.5418 Å).
Lines closer than 0.1° are merged.

abc: 9.8885 8.9664 4.8368
angles: 90.00 90.00 90.00
Element x y z (fractional)
Li 0.1110 0.1037 0.0000
Li 0.1145 0.4908 0.5052
Li 0.3855 0.9908 0.0052
Li 0.3890 0.6037 0.5000
Li 0.6110 0.3963 0.0000
Li 0.6145 0.0092 0.5052
Li 0.8855 0.5092 0.0052
Li 0.8890 0.8963 0.5000
V 0.1292 0.7562 0.0032
V 0.3708 0.2562 0.5032
V 0.6292 0.7438 0.0032
V 0.8708 0.2438 0.5032
F 0.0123 0.2422 0.7511
F 0.0370 0.5943 0.8150
F 0.0382 0.9022 0.7881
F 0.2133 0.6152 0.2478
F 0.2175 0.9208 0.1692
F 0.2316 0.2386 0.2595
F 0.2684 0.7386 0.7595
F 0.2825 0.4208 0.6692
F 0.2867 0.1152 0.7478
F 0.4618 0.4022 0.2881
F 0.4630 0.0943 0.3150
F 0.4877 0.7422 0.2511
F 0.5123 0.2578 0.7511
F 0.5370 0.9057 0.8150
F 0.5382 0.5978 0.7881
F 0.7133 0.8848 0.2478
F 0.7175 0.5792 0.1692
F 0.7316 0.2614 0.2595
F 0.7684 0.7614 0.7595
F 0.7825 0.0792 0.6692
F 0.7867 0.3848 0.7478
F 0.9618 0.0978 0.2881
F 0.9630 0.4057 0.3150
F 0.9877 0.7578 0.2511

The 10 most intense peaks (10° ≤ 2θ ≤ 80°), sorted by position:
index, Position (°2θ), d [Å], Rel. int.
0 2 0, 19.80, 4.483, 48.2
2 1 0, 20.51, 4.330, 99.8
0 1 1, 20.87, 4.257, 100.0
2 0 1, 25.77, 3.458, 56.6
2 2 1, 32.71, 2.738, 40.4
2 3 1, 39.87, 2.261, 91.2
4 0 1, 41.00, 2.201, 22.1
2 3 2, 52.04, 1.757, 29.3
4 0 2, 52.97, 1.729, 31.2
6 3 0, 64.58, 1.443, 17.8